Structure and calculated powder XRD pattern of Pm5Sn2I (a GGA-PBE-relaxed structure; copper Kα).
No peak broadening, texture or thermal motion is included.

The 10 most intense peaks (10 to 80 degrees two-theta), by angle:
d = 2.835 Å, I 100
d = 2.732 Å, I 2
d = 2.618 Å, I 42
d = 2.205 Å, I 11
d = 1.851 Å, I 15
d = 1.686 Å, I 20
d = 1.550 Å, I 32
d = 1.418 Å, I 11
d = 1.366 Å, I 8
d = 1.309 Å, I 5

```
Pm5Sn2I
1.0
11.515 0.000 0.000
0.000 7.405 0.000
-4.762 0.000 5.671
Pm Sn I
10 4 2
direct
0.000 0.000 0.000 Pm
0.241 0.255 0.985 Pm
0.241 0.256 0.496 Pm
0.241 0.744 0.496 Pm
0.241 0.745 0.985 Pm
0.500 0.500 0.000 Pm
0.741 0.244 0.496 Pm
0.741 0.245 0.985 Pm
0.741 0.755 0.985 Pm
0.741 0.756 0.496 Pm
0.494 0.000 0.993 Sn
0.494 0.500 0.492 Sn
0.994 0.000 0.492 Sn
0.994 0.500 0.993 Sn
0.441 0.000 0.440 I
0.941 0.500 0.440 I
```


Structure and calculated powder XRD pattern of Ca2CuTcN (a GGA-PBE-relaxed structure; copper Kα).
No peak broadening, texture or thermal motion is included.

The 10 most intense peaks (10 to 80 degrees two-theta), by angle:
d = 4.940 Å, I 10
d = 3.493 Å, I 19
d = 2.592 Å, I 100
d = 2.470 Å, I 54
d = 1.933 Å, I 12
d = 1.747 Å, I 18
d = 1.522 Å, I 21
d = 1.448 Å, I 30
d = 1.296 Å, I 12
d = 1.209 Å, I 8

```
Ca2CuTcN
1.0
4.940 0.000 0.000
0.000 4.940 0.000
0.000 0.000 3.866
Ca Cu Tc N
2 1 1 1
direct
0.000 0.500 0.000 Ca
0.500 0.000 0.000 Ca
0.000 0.000 0.500 Cu
0.500 0.500 0.500 Tc
0.500 0.500 0.000 N
```


Q: Which formula does entry 1 have?
A: Pm5Sn2I